Starting from a DFT-relaxed cell (GGA-PBE, Alexandria), the X-ray diffraction stick pattern of LiDyTeSe was computed for λ = 1.5418 Å (Cu Kα).

Peak list (10 most intense, 2θ from 10° to 80°, sorted by position)
- (0 0 3), 13.04°, I 39
- (1 0 1), 24.85°, I 33
- (1 0 4), 30.18°, I 100
- (0 1 5), 33.00°, I 19
- (1 1 0), 43.04°, I 38
- (0 1 8), 43.37°, I 36
- (0 2 4), 53.46°, I 20
- (2 1 4), 70.95°, I 17
- (1 1 12), 71.43°, I 15
- (1 2 8), 79.12°, I 12

a b c (Å): 4.2036 4.2036 20.3693
angles (deg): 90.00 90.00 120.00
Space group R3m (No. 160, hexagonal axes)
Symmetry-distinct sites (fractional):
Li 0.0000 0.0000 0.0000
Dy 0.0000 0.0000 0.4890
Te 0.0000 0.0000 0.2484
Se 0.0000 0.0000 0.7461